This entry pairs a crystal structure of PmFeS with its theoretical powder XRD pattern. Radiation: copper Kα. Structure: a crystal structure in Alexandria, relaxed with PBE.

Peak list (8 most intense, 2θ = 15–90°, by intensity)
| d [Å] | Position (°2θ) | I (rel.) |
| --- | --- | --- |
| 2.274 | 39.6 | 1000 |
| 3.881 | 22.9 | 838 |
| 2.974 | 30.0 | 800 |
| 2.502 | 35.9 | 585 |
| 1.964 | 46.2 | 266 |
| 3.235 | 27.6 | 251 |
| 3.779 | 23.5 | 236 |
| 1.949 | 46.6 | 234 |

Cell and atoms:
```
6
Lattice="2.2741 1.3129 7.5585 -2.2741 1.3129 7.5585 0.0000 -2.6259 7.5585" Properties=species:S:1:pos:R:3 pbc="T T T"
Pm 0.0000 0.0000 1.9365
Pm 0.0000 0.0000 20.7389
Fe 0.0000 0.0000 7.3407
Fe 0.0000 0.0000 15.3347
S 0.0000 0.0000 4.9188
S 0.0000 0.0000 17.7565
```

This entry pairs a crystal structure of Pm4FeSn8 with its theoretical powder XRD pattern. Radiation: copper Kα. Structure: a crystal structure in Alexandria, relaxed with PBE.

Peak list (8 most intense, 2θ = 15–90°, by intensity)
| d [Å] | Position (°2θ) | I (rel.) |
| --- | --- | --- |
| 2.778 | 32.2 | 1000 |
| 2.284 | 39.4 | 183 |
| 2.796 | 32.0 | 176 |
| 2.243 | 40.2 | 174 |
| 1.377 | 68.1 | 137 |
| 1.396 | 67.0 | 126 |
| 1.600 | 57.6 | 123 |
| 1.769 | 51.7 | 94 |

Cell and atoms:
```
13
Lattice="4.4858 0.0000 0.0000 0.0000 4.5685 0.0000 0.0000 0.0000 16.7788" Properties=species:S:1:pos:R:3 pbc="T T T"
Pm 0.0000 0.0000 0.0000
Pm 0.0000 2.2843 8.2822
Pm 2.2429 0.0000 13.3061
Pm 2.2429 2.2843 4.9838
Fe 0.0000 2.2843 11.7574
Sn 0.0000 0.0000 5.5591
Sn 0.0000 0.0000 10.6758
Sn 0.0000 2.2843 2.4721
Sn 0.0000 2.2843 14.2682
Sn 2.2429 0.0000 2.5202
Sn 2.2429 0.0000 7.6504
Sn 2.2429 2.2843 10.6424
Sn 2.2429 2.2843 16.2630
```